[1]
For Ba2NaSn6As6, DFT lattice parameters and positions (GGA-PBE) gives the computed X-ray powder pattern in this record (Cu Kα (weighted mean of Kα1 and Kα2)).
No peak broadening, texture or thermal motion is included.

Structural model:
```
Ba2NaSn6As6
1.0
3.6582 -6.3352 0.0000
3.6582 6.3352 0.0000
-2.4396 0.0000 9.4322
Ba Na Sn As
2 1 6 6
direct
0.1664 0.8336 0.0000
0.8336 0.1664 0.0000
0.5000 0.5000 0.0000
0.0372 0.3755 0.6262
0.2866 0.2866 0.3751
0.3755 0.0372 0.6262
0.6245 0.9628 0.3738
0.7134 0.7134 0.6249
0.9628 0.6245 0.3738
0.0984 0.0984 0.7703
0.2513 0.5765 0.2298
0.4235 0.7487 0.7702
0.5765 0.2513 0.2298
0.7487 0.4235 0.7702
0.9016 0.9016 0.2297
```

Top 10 peaks for 2θ from 10° to 90°, in order of rising 2θ:
2θ 29.07, d = 3.072 Å, I 1000
2θ 40.30, d = 2.238 Å, I 338
2θ 42.82, d = 2.112 Å, I 374
2θ 51.66, d = 1.769 Å, I 93
2θ 52.17, d = 1.753 Å, I 82
2θ 52.59, d = 1.740 Å, I 191
2θ 60.25, d = 1.536 Å, I 105
2θ 66.45, d = 1.407 Å, I 106
2θ 70.06, d = 1.343 Å, I 163
2θ 76.72, d = 1.242 Å, I 104

[2]
For Ba2NaUAs6, DFT lattice parameters and positions (GGA-PBE) gives the computed X-ray powder pattern in this record (Cu Kα (weighted mean of Kα1 and Kα2)).
No peak broadening, texture or thermal motion is included.

Structural model:
```
Ba2NaUAs6
1.0
0.0000 5.3201 5.3201
5.3201 0.0000 5.3201
5.3201 5.3201 0.0000
Ba Na U As
2 1 1 6
direct
0.2500 0.2500 0.2500
0.7500 0.7500 0.7500
0.0000 0.0000 0.0000
0.5000 0.5000 0.5000
0.2534 0.2534 0.7466
0.2534 0.7466 0.2534
0.2534 0.7466 0.7466
0.7466 0.2534 0.2534
0.7466 0.2534 0.7466
0.7466 0.7466 0.2534
```

Top 10 peaks for 2θ from 10° to 90°, in order of rising 2θ:
2θ 14.42, d = 6.143 Å, I 460
2θ 23.65, d = 3.762 Å, I 655
2θ 27.81, d = 3.208 Å, I 267
2θ 29.07, d = 3.072 Å, I 471
2θ 33.69, d = 2.660 Å, I 1000
2θ 41.58, d = 2.172 Å, I 302
2θ 48.39, d = 1.881 Å, I 716
2θ 57.45, d = 1.604 Å, I 194
2θ 60.26, d = 1.536 Å, I 247
2θ 80.79, d = 1.190 Å, I 324

[3]
For Ba3NbAs4, DFT lattice parameters and positions (GGA-PBE) gives the computed X-ray powder pattern in this record (Cu Kα (weighted mean of Kα1 and Kα2)).
No peak broadening, texture or thermal motion is included.

Structural model:
```
Ba3NbAs4
1.0
9.2121 0.0000 0.0000
0.0000 11.0550 0.0000
0.0000 0.0000 10.1266
Ba Nb As
12 4 16
direct
0.0493 0.0468 0.1924
0.0493 0.4532 0.1924
0.1448 0.7500 0.4196
0.3552 0.2500 0.9196
0.4507 0.5468 0.6924
0.4507 0.9532 0.6924
0.5493 0.0468 0.3076
0.5493 0.4532 0.3076
0.6448 0.7500 0.0804
0.8552 0.2500 0.5804
0.9507 0.5468 0.8076
0.9507 0.9532 0.8076
0.2475 0.7500 0.9753
0.2525 0.2500 0.4753
0.7475 0.7500 0.5247
0.7525 0.2500 0.0247
0.0075 0.7500 0.0864
0.1395 0.0445 0.5166
0.1395 0.4555 0.5166
0.1995 0.7500 0.7382
0.3005 0.2500 0.2382
0.3605 0.5445 0.0166
0.3605 0.9555 0.0166
0.4925 0.2500 0.5864
0.5075 0.7500 0.4136
0.6395 0.0445 0.9834
0.6395 0.4555 0.9834
0.6995 0.7500 0.7618
0.8005 0.2500 0.2618
0.8605 0.5445 0.4834
0.8605 0.9555 0.4834
0.9925 0.2500 0.9136
```

Top 10 peaks for 2θ from 10° to 90°, in order of rising 2θ:
2θ 25.17, d = 3.539 Å, I 484
2θ 25.74, d = 3.461 Å, I 586
2θ 27.63, d = 3.228 Å, I 446
2θ 28.16, d = 3.169 Å, I 512
2θ 30.42, d = 2.939 Å, I 541
2θ 31.08, d = 2.877 Å, I 673
2θ 32.37, d = 2.766 Å, I 1000
2θ 32.57, d = 2.750 Å, I 475
2θ 36.80, d = 2.442 Å, I 476
2θ 56.57, d = 1.627 Å, I 289

[4]
For BaNb2As4, DFT lattice parameters and positions (GGA-PBE) gives the computed X-ray powder pattern in this record (Cu Kα (weighted mean of Kα1 and Kα2)).
No peak broadening, texture or thermal motion is included.

Structural model:
```
BaNb2As4
1.0
-2.8212 2.8212 6.9474
2.8212 -2.8212 6.9474
2.8212 2.8212 -6.9474
Ba Nb As
1 2 4
direct
0.0000 0.0000 0.0000
0.4122 0.4122 0.0000
0.5878 0.5878 0.0000
0.0000 0.5000 0.5000
0.2447 0.2447 0.0000
0.5000 0.0000 0.5000
0.7553 0.7553 0.0000
```

Top 10 peaks for 2θ from 10° to 90°, in order of rising 2θ:
2θ 12.74, d = 6.947 Å, I 529
2θ 22.28, d = 3.990 Å, I 644
2θ 25.64, d = 3.474 Å, I 230
2θ 31.72, d = 2.821 Å, I 1000
2θ 34.31, d = 2.614 Å, I 193
2θ 36.03, d = 2.493 Å, I 394
2θ 41.22, d = 2.190 Å, I 257
2θ 45.28, d = 2.003 Å, I 243
2θ 45.47, d = 1.995 Å, I 362
2θ 48.75, d = 1.868 Å, I 328

[5]
For BaNbNiAs2, DFT lattice parameters and positions (GGA-PBE) gives the computed X-ray powder pattern in this record (Cu Kα (weighted mean of Kα1 and Kα2)).
No peak broadening, texture or thermal motion is included.

Structural model:
```
BaNbNiAs2
1.0
-2.0366 2.0366 6.8293
2.0366 -2.0366 6.8293
2.0366 2.0366 -6.8293
Ba Nb Ni As
1 1 1 2
direct
0.0000 0.0000 0.0000
0.7500 0.2500 0.5000
0.2500 0.7500 0.5000
0.3595 0.3595 0.0000
0.6405 0.6405 0.0000
```

Top 10 peaks for 2θ from 10° to 90°, in order of rising 2θ:
2θ 29.42, d = 3.036 Å, I 1000
2θ 33.77, d = 2.654 Å, I 657
2θ 39.73, d = 2.269 Å, I 195
2θ 40.99, d = 2.202 Å, I 165
2θ 44.48, d = 2.037 Å, I 436
2θ 51.15, d = 1.786 Å, I 408
2θ 54.24, d = 1.691 Å, I 352
2θ 64.73, d = 1.440 Å, I 139
2θ 72.20, d = 1.308 Å, I 162
2θ 86.89, d = 1.121 Å, I 178

[6]
For Ba3NbAs3O, DFT lattice parameters and positions (GGA-PBE) gives the computed X-ray powder pattern in this record (Cu Kα (weighted mean of Kα1 and Kα2)).
No peak broadening, texture or thermal motion is included.

Structural model:
```
Ba3NbAs3O
1.0
6.8172 0.0000 0.0000
0.0000 11.2542 0.0000
0.0000 0.0000 13.6779
Ba Nb As O
12 4 12 4
direct
0.2268 0.2500 0.1280
0.2433 0.5452 0.3692
0.2433 0.9548 0.3692
0.2567 0.0452 0.8692
0.2567 0.4548 0.8692
0.2732 0.7500 0.6280
0.7268 0.2500 0.3720
0.7433 0.5452 0.1308
0.7433 0.9548 0.1308
0.7567 0.0452 0.6308
0.7567 0.4548 0.6308
0.7732 0.7500 0.8720
0.1604 0.2500 0.5454
0.3396 0.7500 0.0454
0.6604 0.2500 0.9546
0.8396 0.7500 0.4546
0.2272 0.2500 0.3668
0.2366 0.5561 0.1174
0.2366 0.9439 0.1174
0.2634 0.0561 0.6174
0.2634 0.4439 0.6174
0.2728 0.7500 0.8668
0.7272 0.2500 0.1332
0.7366 0.5561 0.3826
0.7366 0.9439 0.3826
0.7634 0.0561 0.8826
0.7634 0.4439 0.8826
0.7728 0.7500 0.6332
0.1187 0.7500 0.4467
0.3813 0.2500 0.9467
0.6187 0.7500 0.0533
0.8813 0.2500 0.5533
```

Top 10 peaks for 2θ from 10° to 90°, in order of rising 2θ:
2θ 24.29, d = 3.664 Å, I 234
2θ 24.61, d = 3.618 Å, I 384
2θ 26.11, d = 3.413 Å, I 1000
2θ 30.87, d = 2.897 Å, I 132
2θ 31.81, d = 2.814 Å, I 165
2θ 36.21, d = 2.481 Å, I 307
2θ 37.25, d = 2.414 Å, I 357
2θ 40.85, d = 2.209 Å, I 375
2θ 41.60, d = 2.171 Å, I 171
2θ 49.13, d = 1.854 Å, I 180

[7]
For BaNi9As5, DFT lattice parameters and positions (GGA-PBE) gives the computed X-ray powder pattern in this record (Cu Kα (weighted mean of Kα1 and Kα2)).
No peak broadening, texture or thermal motion is included.

Structural model:
```
BaNi9As5
1.0
6.7667 0.0000 0.0000
-3.3833 5.8601 0.0000
0.0000 0.0000 11.3434
Ba Ni As
2 18 10
direct
0.0000 0.0000 0.0000
0.0000 0.0000 0.5000
0.0710 0.5355 0.1065
0.0710 0.5355 0.3935
0.2087 0.4174 0.7500
0.2087 0.7913 0.7500
0.4174 0.2087 0.2500
0.4645 0.5355 0.1065
0.4645 0.5355 0.3935
0.4645 0.9290 0.1065
0.4645 0.9290 0.3935
0.5355 0.0710 0.6065
0.5355 0.0710 0.8935
0.5355 0.4645 0.6065
0.5355 0.4645 0.8935
0.5826 0.7913 0.7500
0.7913 0.2087 0.2500
0.7913 0.5826 0.2500
0.9290 0.4645 0.6065
0.9290 0.4645 0.8935
0.1732 0.3464 0.2500
0.1732 0.8268 0.2500
0.3333 0.6667 0.5610
0.3333 0.6667 0.9390
0.3464 0.1732 0.7500
0.6536 0.8268 0.2500
0.6667 0.3333 0.0610
0.6667 0.3333 0.4390
0.8268 0.1732 0.7500
0.8268 0.6536 0.7500
```

Top 10 peaks for 2θ from 10° to 90°, in order of rising 2θ:
2θ 30.77, d = 2.906 Å, I 1000
2θ 34.45, d = 2.603 Å, I 812
2θ 35.16, d = 2.553 Å, I 423
2θ 44.46, d = 2.038 Å, I 403
2θ 47.22, d = 1.925 Å, I 243
2θ 47.58, d = 1.911 Å, I 692
2θ 49.34, d = 1.847 Å, I 339
2θ 52.42, d = 1.746 Å, I 615
2θ 54.22, d = 1.692 Å, I 532
2θ 76.35, d = 1.247 Å, I 227

[8]
For BaNi2As, DFT lattice parameters and positions (GGA-PBE) gives the computed X-ray powder pattern in this record (Cu Kα (weighted mean of Kα1 and Kα2)).
No peak broadening, texture or thermal motion is included.

Structural model:
```
BaNi2As
1.0
3.8976 0.0000 0.0000
0.0000 4.8773 0.0000
0.0000 0.0000 4.9774
Ba Ni As
1 2 1
direct
0.0000 0.0000 0.0000
0.5000 0.2448 0.5000
0.5000 0.7552 0.5000
0.0000 0.5000 0.5000
```

Top 10 peaks for 2θ from 10° to 90°, in order of rising 2θ:
2θ 25.57, d = 3.484 Å, I 1000
2θ 29.10, d = 3.069 Å, I 589
2θ 34.53, d = 2.597 Å, I 989
2θ 36.09, d = 2.489 Å, I 556
2θ 43.79, d = 2.067 Å, I 636
2θ 46.61, d = 1.949 Å, I 264
2θ 53.91, d = 1.701 Å, I 251
2θ 58.00, d = 1.590 Å, I 538
2θ 60.32, d = 1.534 Å, I 238
2θ 63.92, d = 1.456 Å, I 278